This entry pairs a crystal structure of Ho12Er7Th with its calculated powder X-ray diffraction pattern. Radiation: Cu Ka. Structure: the GGA-PBE geometry in Alexandria.

a b c (Å): 8.630 8.630 8.630
angles (deg): 89.13 89.13 89.13
Fractional positions:
Ho1 0.002 0.119 0.646
Ho2 0.119 0.646 0.002
Ho3 0.218 0.759 0.635
Ho4 0.241 0.365 0.782
Ho5 0.354 0.998 0.881
Ho6 0.365 0.782 0.241
Ho7 0.635 0.218 0.759
Ho8 0.646 0.002 0.119
Ho9 0.759 0.635 0.218
Ho10 0.782 0.241 0.365
Ho11 0.881 0.354 0.998
Ho12 0.998 0.881 0.354
Er1 0.000 0.000 0.000
Er2 0.120 0.451 0.346
Er3 0.346 0.120 0.451
Er4 0.451 0.346 0.120
Er5 0.549 0.654 0.880
Er6 0.654 0.880 0.549
Er7 0.880 0.549 0.654
Th1 0.500 0.500 0.500

Principal peaks in the range 10 to 90 degrees two-theta, by intensity:
2θ/deg, intensity
31.3, 100
32.7, 57
33.0, 56
30.7, 31
34.1, 28
54.6, 26
31.1, 25
54.0, 18